1.
This entry pairs a crystal structure of LaPrIn3 with its calculated X-ray powder pattern. Radiation: copper Kα. Structure: a DFT-relaxed cell (GGA-PBE, Alexandria).

Principal peaks in the range 10 to 80 degrees two-theta, sorted by position:
2θ 30.60, I 662
2θ 34.28, I 1000
2θ 34.97, I 488
2θ 36.10, I 400
2θ 36.30, I 347
2θ 52.46, I 288

Structural model:
Unit cell a=9.969 b=9.969 c=9.969 alpha=35.93 beta=35.93 gamma=35.93
Element x y z (fractional)
La 0.191 0.191 0.191
La 0.809 0.809 0.809
Pr 0.309 0.309 0.309
Pr 0.691 0.691 0.691
In 0.249 0.249 0.748
In 0.249 0.748 0.249
In 0.252 0.751 0.751
In 0.748 0.249 0.249
In 0.751 0.252 0.751
In 0.751 0.751 0.252



2.
This entry pairs a crystal structure of NaHfF5 with its calculated X-ray powder pattern. Radiation: copper Kα. Structure: a DFT-relaxed cell (GGA-PBE, Alexandria).

Principal peaks in the range 10 to 80 degrees two-theta, sorted by position:
2θ 16.05, I 650
2θ 16.66, I 781
2θ 18.10, I 445
2θ 23.21, I 1000
2θ 24.29, I 926
2θ 25.03, I 632

Structural model:
Unit cell a=5.798 b=10.643 c=8.195 alpha=90.00 beta=107.73 gamma=90.00
Element x y z (fractional)
Na 0.008 0.006 0.282
Na 0.008 0.494 0.782
Na 0.992 0.506 0.218
Na 0.992 0.994 0.718
Hf 0.419 0.246 0.121
Hf 0.419 0.254 0.621
Hf 0.581 0.746 0.379
Hf 0.581 0.754 0.879
F 0.153 0.123 0.097
F 0.153 0.377 0.597
F 0.174 0.116 0.540
F 0.174 0.384 0.040
F 0.313 0.632 0.838
F 0.313 0.868 0.338
F 0.346 0.608 0.305
F 0.346 0.892 0.805
F 0.406 0.220 0.868
F 0.406 0.280 0.368
F 0.594 0.720 0.632
F 0.594 0.780 0.132
F 0.654 0.108 0.195
F 0.654 0.392 0.695
F 0.687 0.132 0.662
F 0.687 0.368 0.162
F 0.826 0.616 0.960
F 0.826 0.884 0.460
F 0.847 0.623 0.403
F 0.847 0.877 0.903



3.
This entry pairs a crystal structure of Dy3S4 with its calculated X-ray powder pattern. Radiation: copper Kα. Structure: a DFT-relaxed cell (GGA-PBE, Alexandria).

Principal peaks in the range 10 to 80 degrees two-theta, sorted by position:
2θ 13.89, I 524
2θ 27.98, I 897
2θ 32.21, I 1000
2θ 32.83, I 475
2θ 46.66, I 696
2θ 57.83, I 364

Structural model:
Unit cell a=6.724 b=6.724 c=3.930 alpha=90.00 beta=90.00 gamma=108.47
Element x y z (fractional)
Dy 0.000 0.000 0.000
Dy 0.000 0.500 0.500
Dy 0.500 0.000 0.500
S 0.241 0.241 0.500
S 0.253 0.747 0.000
S 0.747 0.253 0.000
S 0.759 0.759 0.500



4.
This entry pairs a crystal structure of Dy5Y2Ho4 with its calculated X-ray powder pattern. Radiation: copper Kα. Structure: a DFT-relaxed cell (GGA-PBE, Alexandria).

Principal peaks in the range 10 to 80 degrees two-theta, sorted by position:
2θ 30.57, I 901
2θ 31.84, I 1000
2θ 32.63, I 619
2θ 33.02, I 690
2θ 33.30, I 600
2θ 58.32, I 578

Structural model:
Unit cell a=6.599 b=6.599 c=9.139 alpha=103.61 beta=103.61 gamma=67.43
Element x y z (fractional)
Dy 0.000 0.000 0.000
Dy 0.209 0.649 0.723
Dy 0.351 0.791 0.277
Dy 0.649 0.209 0.723
Dy 0.791 0.351 0.277
Y 0.144 0.144 0.624
Y 0.856 0.856 0.376
Ho 0.319 0.319 0.004
Ho 0.333 0.333 0.381
Ho 0.667 0.667 0.619
Ho 0.681 0.681 0.996



5.
This entry pairs a crystal structure of Cs4Hg16Au3 with its calculated X-ray powder pattern. Radiation: copper Kα. Structure: a DFT-relaxed cell (GGA-PBE, Alexandria).

Principal peaks in the range 10 to 80 degrees two-theta, sorted by position:
2θ 28.46, I 466
2θ 31.25, I 420
2θ 31.35, I 811
2θ 33.20, I 461
2θ 34.01, I 1000
2θ 37.93, I 221

Structural model:
Unit cell a=7.203 b=7.754 c=13.518 alpha=87.06 beta=88.25 gamma=89.82
Element x y z (fractional)
Cs 0.012 0.047 0.302
Cs 0.486 0.597 0.717
Cs 0.514 0.403 0.283
Cs 0.988 0.953 0.698
Hg 0.010 0.546 0.294
Hg 0.111 0.652 0.918
Hg 0.221 0.248 0.872
Hg 0.243 0.704 0.474
Hg 0.244 0.298 0.528
Hg 0.271 0.735 0.122
Hg 0.373 0.142 0.078
Hg 0.494 0.097 0.711
Hg 0.506 0.903 0.289
Hg 0.627 0.858 0.922
Hg 0.729 0.265 0.878
Hg 0.756 0.702 0.472
Hg 0.757 0.296 0.526
Hg 0.779 0.752 0.128
Hg 0.889 0.348 0.082
Hg 0.990 0.454 0.706
Au 0.000 0.000 0.000
Au 0.500 0.000 0.500
Au 0.500 0.500 0.000



6.
This entry pairs a crystal structure of NaPt3Pb5 with its calculated X-ray powder pattern. Radiation: copper Kα. Structure: a DFT-relaxed cell (GGA-PBE, Alexandria).

Principal peaks in the range 10 to 80 degrees two-theta, sorted by position:
2θ 18.85, I 678
2θ 28.93, I 333
2θ 29.55, I 1000
2θ 38.23, I 600
2θ 39.04, I 345
2θ 47.51, I 380

Structural model:
Unit cell a=7.771 b=7.771 c=10.153 alpha=111.34 beta=111.34 gamma=72.86
Element x y z (fractional)
Na 0.115 0.115 0.315
Na 0.885 0.885 0.685
Pt 0.000 0.000 0.000
Pt 0.000 0.000 0.500
Pt 0.328 0.328 0.840
Pt 0.358 0.358 0.339
Pt 0.642 0.642 0.661
Pt 0.672 0.672 0.160
Pb 0.052 0.640 0.326
Pb 0.231 0.231 0.035
Pb 0.293 0.707 0.000
Pb 0.360 0.948 0.674
Pb 0.411 0.411 0.633
Pb 0.589 0.589 0.367
Pb 0.640 0.052 0.326
Pb 0.707 0.293 0.000
Pb 0.769 0.769 0.965
Pb 0.948 0.360 0.674



7.
This entry pairs a crystal structure of Cd5Ag2Pt with its calculated X-ray powder pattern. Radiation: copper Kα. Structure: a DFT-relaxed cell (GGA-PBE, Alexandria).

Principal peaks in the range 10 to 80 degrees two-theta, sorted by position:
2θ 36.47, I 1000
2θ 37.33, I 186
2θ 39.22, I 263
2θ 43.87, I 222
2θ 60.29, I 168
2θ 69.29, I 144

Structural model:
Unit cell a=5.831 b=11.687 c=4.594 alpha=90.00 beta=90.00 gamma=90.00
Element x y z (fractional)
Cd 0.000 0.000 0.000
Cd 0.066 0.261 0.000
Cd 0.191 0.607 0.500
Cd 0.309 0.107 0.500
Cd 0.434 0.761 0.000
Cd 0.500 0.500 0.000
Cd 0.566 0.239 0.000
Cd 0.691 0.893 0.500
Cd 0.809 0.393 0.500
Cd 0.934 0.739 0.000
Ag 0.186 0.863 0.500
Ag 0.314 0.363 0.500
Ag 0.686 0.637 0.500
Ag 0.814 0.137 0.500
Pt 0.000 0.500 0.000
Pt 0.500 0.000 0.000



8.
This entry pairs a crystal structure of TcSeCl3 with its calculated X-ray powder pattern. Radiation: copper Kα. Structure: a DFT-relaxed cell (GGA-PBE, Alexandria).

Principal peaks in the range 10 to 80 degrees two-theta, sorted by position:
2θ 10.24, I 152
2θ 11.90, I 1000
2θ 13.28, I 415
2θ 17.52, I 283
2θ 31.05, I 113
2θ 35.65, I 103

Structural model:
Unit cell a=7.448 b=8.640 c=10.494 alpha=90.00 beta=93.50 gamma=90.00
Element x y z (fractional)
Tc 0.063 0.145 0.376
Tc 0.063 0.855 0.876
Tc 0.937 0.145 0.124
Tc 0.937 0.855 0.624
Se 0.061 0.425 0.353
Se 0.061 0.575 0.853
Se 0.939 0.425 0.147
Se 0.939 0.575 0.647
Cl 0.074 0.144 0.916
Cl 0.074 0.856 0.416
Cl 0.242 0.118 0.202
Cl 0.242 0.882 0.702
Cl 0.332 0.180 0.500
Cl 0.332 0.820 0.000
Cl 0.668 0.180 0.000
Cl 0.668 0.820 0.500
Cl 0.758 0.118 0.298
Cl 0.758 0.882 0.798
Cl 0.926 0.144 0.584
Cl 0.926 0.856 0.084



9.
This entry pairs a crystal structure of PmPr2Zn2 with its calculated X-ray powder pattern. Radiation: copper Kα. Structure: a DFT-relaxed cell (GGA-PBE, Alexandria).

Principal peaks in the range 10 to 80 degrees two-theta, sorted by position:
2θ 25.66, I 183
2θ 32.48, I 184
2θ 33.51, I 1000
2θ 33.82, I 276
2θ 47.59, I 125
2θ 60.30, I 181

Structural model:
Unit cell a=3.744 b=5.301 c=13.910 alpha=90.00 beta=97.76 gamma=90.00
Element x y z (fractional)
Pm 0.143 0.250 0.283
Pm 0.857 0.750 0.717
Pr 0.046 0.750 0.091
Pr 0.231 0.750 0.463
Pr 0.769 0.250 0.537
Pr 0.954 0.250 0.909
Zn 0.360 0.250 0.723
Zn 0.449 0.750 0.899
Zn 0.551 0.250 0.101
Zn 0.640 0.750 0.277



10.
This entry pairs a crystal structure of La2PrSmIn2 with its calculated X-ray powder pattern. Radiation: copper Kα. Structure: a DFT-relaxed cell (GGA-PBE, Alexandria).

Principal peaks in the range 10 to 80 degrees two-theta, sorted by position:
2θ 30.76, I 1000
2θ 30.91, I 671
2θ 32.11, I 734
2θ 33.44, I 376
2θ 33.89, I 633
2θ 58.74, I 263

Structural model:
Unit cell a=5.290 b=10.437 c=6.911 alpha=90.00 beta=90.00 gamma=90.00
Element x y z (fractional)
La 0.000 0.056 0.000
La 0.000 0.944 0.500
La 0.500 0.178 0.228
La 0.500 0.822 0.728
Pr 0.500 0.458 0.871
Pr 0.500 0.542 0.371
Sm 0.000 0.311 0.602
Sm 0.000 0.689 0.102
In 0.000 0.376 0.135
In 0.000 0.624 0.635
In 0.500 0.143 0.714
In 0.500 0.857 0.214



11.
This entry pairs a crystal structure of BaAc2Zn6 with its calculated X-ray powder pattern. Radiation: copper Kα. Structure: a DFT-relaxed cell (GGA-PBE, Alexandria).

Principal peaks in the range 10 to 80 degrees two-theta, sorted by position:
2θ 21.51, I 254
2θ 31.26, I 1000
2θ 37.72, I 490
2θ 49.77, I 274
2θ 60.73, I 240
2θ 64.09, I 256

Structural model:
Unit cell a=8.262 b=8.262 c=3.967 alpha=90.00 beta=90.00 gamma=120.00
Element x y z (fractional)
Ba 0.000 0.000 0.000
Ac 0.333 0.667 0.000
Ac 0.667 0.333 0.000
Zn 0.000 0.337 0.500
Zn 0.000 0.663 0.500
Zn 0.337 0.000 0.500
Zn 0.337 0.337 0.500
Zn 0.663 0.000 0.500
Zn 0.663 0.663 0.500



12.
This entry pairs a crystal structure of Pr4Y10Sc with its calculated X-ray powder pattern. Radiation: copper Kα. Structure: a DFT-relaxed cell (GGA-PBE, Alexandria).

Principal peaks in the range 10 to 80 degrees two-theta, sorted by position:
2θ 27.14, I 576
2θ 28.39, I 718
2θ 28.54, I 923
2θ 32.73, I 1000
2θ 33.39, I 686
2θ 44.49, I 467

Structural model:
Unit cell a=8.729 b=8.729 c=8.729 alpha=110.99 beta=110.99 gamma=106.47
Element x y z (fractional)
Pr 0.065 0.325 0.390
Pr 0.325 0.935 0.259
Pr 0.675 0.065 0.741
Pr 0.935 0.675 0.610
Y 0.128 0.448 0.904
Y 0.224 0.128 0.680
Y 0.250 0.750 0.500
Y 0.448 0.544 0.320
Y 0.456 0.776 0.904
Y 0.544 0.224 0.096
Y 0.552 0.456 0.680
Y 0.750 0.250 0.500
Y 0.776 0.872 0.320
Y 0.872 0.552 0.096
Sc 0.000 0.000 0.000



Number 4 is which compound? Dy5Y2Ho4



What did the third record say?
This entry pairs a crystal structure of Dy3S4 with its calculated X-ray powder pattern. Radiation: copper Kα. Structure: a DFT-relaxed cell (GGA-PBE, Alexandria).

Principal peaks in the range 10 to 80 degrees two-theta, sorted by position:
2θ 13.89, I 524
2θ 27.98, I 897
2θ 32.21, I 1000
2θ 32.83, I 475
2θ 46.66, I 696
2θ 57.83, I 364

Structural model:
Unit cell a=6.724 b=6.724 c=3.930 alpha=90.00 beta=90.00 gamma=108.47
Element x y z (fractional)
Dy 0.000 0.000 0.000
Dy 0.000 0.500 0.500
Dy 0.500 0.000 0.500
S 0.241 0.241 0.500
S 0.253 0.747 0.000
S 0.747 0.253 0.000
S 0.759 0.759 0.500



Which formula does entry 7 have? Cd5Ag2Pt